[1]
Starting from DFT lattice parameters and positions (GGA-PBE), the X-ray diffraction stick pattern of BaHfCl6 was simulated for Cu Kα, 1.54184 Å.

Most intense lines, 2θ = 10–90°, most intense first:
17.9°, rel. 1000; 15.5°, rel. 754; 31.5°, rel. 594; 22.2°, rel. 542; 42.3°, rel. 240; 32.5°, rel. 236; 31.8°, rel. 231; 29.7°, rel. 197; 38.0°, rel. 193; 36.2°, rel. 180

Crystal structure
Cell: 6.7725 6.7725 6.6789 Å, 97.73 97.73 114.66°
Sites, in units of the cell vectors:
Ba1 0.0000 0.0000 0.0000
Hf1 0.5000 0.5000 0.5000
Cl1 0.1766 0.4812 0.2633
Cl2 0.2451 0.2451 0.6800
Cl3 0.4812 0.1766 0.2633
Cl4 0.5188 0.8234 0.7367
Cl5 0.7549 0.7549 0.3200
Cl6 0.8234 0.5188 0.7367

---

[2]
Starting from DFT lattice parameters and positions (GGA-PBE), the X-ray diffraction stick pattern of BaHfTl2Cl8 was simulated for Cu Kα, 1.54184 Å.

Most intense lines, 2θ = 10–90°, most intense first:
17.4°, rel. 1000; 23.6°, rel. 836; 18.1°, rel. 806; 34.2°, rel. 562; 23.9°, rel. 500; 34.9°, rel. 479; 35.6°, rel. 291; 44.4°, rel. 276; 25.8°, rel. 269; 40.8°, rel. 235

Crystal structure
Cell: 6.9048 7.2277 8.8460 Å, 89.90 89.95 87.86°
Sites, in units of the cell vectors:
Ba1 0.0000 0.0000 0.0000
Hf1 0.0000 0.0000 0.5000
Tl1 0.5000 0.4996 0.2591
Tl2 0.5000 0.5004 0.7409
Cl1 0.1243 0.2061 0.2987
Cl2 0.1255 0.2054 0.7007
Cl3 0.3044 0.8221 0.4993
Cl4 0.3481 0.7323 0.0001
Cl5 0.6519 0.2677 0.9999
Cl6 0.6956 0.1779 0.5007
Cl7 0.8745 0.7946 0.2993
Cl8 0.8757 0.7939 0.7013